1.
# LiPmTl2Pd4
Computed X-ray diffraction stick pattern, a wavelength of 1.5418 Å. Input: a GGA-PBE-relaxed structure.
Peak positions follow from Bragg's law for the DFT cell and can differ from measured ones.

Peak list (10 most intense, 10° ≤ 2θ ≤ 90°, by angle)
two_theta, I/Imax, (hkl)
22.6, 155, 0 0 6
23.0, 160, 0 1 2
28.9, 139, 0 1 5
37.6, 910, 0 1 8
38.1, 1000, 1 1 0
44.7, 157, 1 1 6
54.5, 310, 2 0 8
67.5, 111, 1 0 16
68.4, 313, 1 2 8
68.8, 175, 3 0 0

```
data_LiPmTl2Pd4
_chemical_formula_sum 'Li3 Pm3 Tl6 Pd12'
_cell_length_a 4.7297
_cell_length_b 4.7297
_cell_length_c 23.6136
_cell_angle_alpha 90.00
_cell_angle_beta 90.00
_cell_angle_gamma 120.00
_space_group_name_H-M_alt 'R -3 m'
_space_group_IT_number 166
_space_group_name_Hall '-R 3 2"'
loop_
_atom_site_label
_atom_site_type_symbol
_atom_site_fract_x
_atom_site_fract_y
_atom_site_fract_z
Li1 Li 0.0000 0.0000 0.0000
Pm1 Pm 0.0000 0.0000 0.5000
Tl1 Tl 0.0000 0.0000 0.2548
Pd1 Pd 0.0000 0.0000 0.1112
Pd2 Pd 0.0000 0.0000 0.3746
```

2.
# Tb2As2Rh5
Computed X-ray diffraction stick pattern, a wavelength of 1.5418 Å. Input: a GGA-PBE-relaxed structure.
Peak positions follow from Bragg's law for the DFT cell and can differ from measured ones.

Peak list (10 most intense, 10° ≤ 2θ ≤ 90°, by angle)
two_theta, I/Imax, (hkl)
29.2, 176, 1 0 2
36.3, 1000, 1 1 2
41.0, 126, 0 0 4
42.7, 502, 2 0 0
43.1, 150, 1 1 3
46.5, 93, 1 0 4
60.7, 157, 2 0 4
62.0, 164, 2 2 0
71.5, 158, 1 1 6
74.0, 243, 3 1 2

```
data_Tb2As2Rh5
_chemical_formula_sum 'Tb2 As2 Rh5'
_cell_length_a 4.234
_cell_length_b 4.234
_cell_length_c 8.814
_cell_angle_alpha 90.00
_cell_angle_beta 90.00
_cell_angle_gamma 90.00
_space_group_name_H-M_alt 'P 4/m m m'
_space_group_IT_number 123
_space_group_name_Hall '-P 4 2'
loop_
_atom_site_label
_atom_site_type_symbol
_atom_site_fract_x
_atom_site_fract_y
_atom_site_fract_z
Tb1 Tb 0.000 0.000 0.000
Tb2 Tb 0.000 0.000 0.500
As1 As 0.500 0.500 0.146
Rh1 Rh 0.000 0.500 0.268
Rh2 Rh 0.500 0.500 0.500
```

3.
# Tb6FeSb2
Computed X-ray diffraction stick pattern, a wavelength of 1.5418 Å. Input: a GGA-PBE-relaxed structure.
Peak positions follow from Bragg's law for the DFT cell and can differ from measured ones.

Peak list (10 most intense, 10° ≤ 2θ ≤ 90°, by angle)
two_theta, I/Imax, (hkl)
30.5, 771, 1 1 1
33.1, 1000, 2 1 0
37.7, 189, 3 0 0
39.8, 213, 2 1 1
43.6, 167, 0 0 2
51.0, 167, 3 1 1
55.8, 235, 2 1 2
59.0, 101, 3 0 2
60.6, 186, 3 2 1
63.6, 111, 4 1 1

```
data_Tb6FeSb2
_chemical_formula_sum 'Tb6 Fe1 Sb2'
_cell_length_a 8.2670
_cell_length_b 8.2670
_cell_length_c 4.1500
_cell_angle_alpha 90.00
_cell_angle_beta 90.00
_cell_angle_gamma 120.00
_space_group_name_H-M_alt 'P -6 2 m'
_space_group_IT_number 189
_space_group_name_Hall 'P -6 -2'
loop_
_atom_site_label
_atom_site_type_symbol
_atom_site_fract_x
_atom_site_fract_y
_atom_site_fract_z
Tb1 Tb 0.0000 0.2353 0.0000
Tb2 Tb 0.0000 0.5993 0.5000
Fe1 Fe 0.0000 0.0000 0.5000
Sb1 Sb 0.3333 0.6667 0.0000
```